K3Pm3HfTe8: theoretical powder XRD pattern (Cu Kα (λ = 1.5418 Å)), based on a DFT-relaxed cell (GGA-PBE, Alexandria).

```
data_K3Pm3HfTe8
_cell_length_a 9.9035
_cell_length_b 9.9035
_cell_length_c 9.9035
_cell_angle_alpha 53.66
_cell_angle_beta 53.66
_cell_angle_gamma 53.66
_symmetry_space_group_name_H-M 'P 1'
_symmetry_Int_Tables_number 1
loop_
_symmetry_equiv_pos_as_xyz
'x,y,z'
loop_
_atom_site_label
_atom_site_fract_x
_atom_site_fract_y
_atom_site_fract_z
K1 0.0000 0.5000 0.5000
K2 0.5000 0.0000 0.5000
K3 0.5000 0.5000 0.0000
Pm1 0.0000 0.0000 0.5000
Pm2 0.0000 0.5000 0.0000
Pm3 0.5000 0.0000 0.0000
Hf1 0.5000 0.5000 0.5000
Te1 0.2382 0.2382 0.2382
Te2 0.2559 0.7228 0.7228
Te3 0.2772 0.2772 0.7441
Te4 0.2772 0.7441 0.2772
Te5 0.7228 0.2559 0.7228
Te6 0.7228 0.7228 0.2559
Te7 0.7441 0.2772 0.2772
Te8 0.7618 0.7618 0.7618
```

Principal peaks in the range 10 to 80 degrees two-theta, by angle:
2θ 10.47, intensity 619
2θ 26.99, intensity 1000
2θ 33.89, intensity 241
2θ 36.64, intensity 341
2θ 40.36, intensity 355
2θ 41.81, intensity 132
2θ 45.81, intensity 155
2θ 49.23, intensity 180
2θ 65.48, intensity 146
2θ 69.75, intensity 101